No. 1
Structure and simulated powder diffractogram of Hf3FeSi3 (a DFT-relaxed cell (PBE, Alexandria); Cu Kα X-rays).

Most intense lines, 10 to 90 degrees two-theta, sorted by position:
2theta	I (rel.)
25.10	45.1
28.33	27.1
29.40	39.9
36.12	100.0
36.37	28.1
36.62	83.5
44.41	25.9
47.28	31.7

Cell and atoms:
a b c (Å): 9.8155 3.8453 12.7616
angles (deg): 90.00 110.49 90.00
Space group C2/m (No. 12)
Inequivalent atoms, fractional coordinates:
Hf: 0.0246 0.0000 0.3802
Hf: 0.1045 0.0000 0.9185
Hf: 0.2458 0.0000 0.2263
Fe: 0.2394 0.5000 0.4126
Si: 0.0411 0.5000 0.2391
Si: 0.1161 0.5000 0.0745
Si: 0.1354 0.5000 0.5495

No. 2
Structure and simulated powder diffractogram of Ac4ThN4 (a DFT-relaxed cell (PBE, Alexandria); Cu Kα X-rays).

Most intense lines, 10 to 90 degrees two-theta, sorted by position:
2theta	I (rel.)
27.86	50.1
28.12	51.2
28.52	100.0
32.67	42.4
32.78	83.4
46.79	29.2
47.13	30.7
55.77	23.7

Cell and atoms:
a b c (Å): 12.9208 3.8118 9.6068
angles (deg): 90.00 120.10 90.00
Space group C2/m (No. 12)
Inequivalent atoms, fractional coordinates:
Ac: 0.1057 0.0000 0.3839
Ac: 0.2068 0.5000 0.8120
Th: 0.0000 0.5000 0.0000
N: 0.0895 0.0000 0.9157
N: 0.1846 0.5000 0.2800

No. 3
Structure and simulated powder diffractogram of LaHo12Ni6 (a DFT-relaxed cell (PBE, Alexandria); Cu Kα X-rays).

Most intense lines, 10 to 90 degrees two-theta, sorted by position:
2theta	I (rel.)
28.75	52.4
31.57	32.3
34.17	100.0
47.20	23.3
54.50	33.5
57.90	33.4
83.56	17.6
84.98	16.4

Cell and atoms:
a b c (Å): 9.8183 9.8183 9.8183
angles (deg): 90.00 90.00 90.00
Space group Im-3 (No. 204)
Inequivalent atoms, fractional coordinates:
La: 0.0000 0.0000 0.0000
Ho: 0.0000 0.3119 0.1847
Ni: 0.0000 0.1237 0.5000

No. 4
Structure and simulated powder diffractogram of Ac2Ni4As3Pt (a DFT-relaxed cell (PBE, Alexandria); Cu Kα X-rays).

Most intense lines, 10 to 90 degrees two-theta, sorted by position:
2theta	I (rel.)
22.52	27.1
34.32	59.4
34.61	100.0
41.93	52.1
50.93	21.8
55.25	30.8
68.02	17.5
71.87	24.1

Cell and atoms:
a b c (Å): 4.3097 4.3097 9.8575
angles (deg): 90.00 90.00 90.00
Space group P-4m2 (No. 115)
Inequivalent atoms, fractional coordinates:
Ac: 0.0000 0.5000 0.2488
Ni: 0.0000 0.0000 0.0000
Ni: 0.0000 0.5000 0.6315
Ni: 0.5000 0.5000 0.0000
As: 0.0000 0.5000 0.8773
As: 0.5000 0.5000 0.5000
Pt: 0.0000 0.0000 0.5000